(1)
The following is a theoretical X-ray powder pattern of PrCuNiSn2. It was derived from DFT lattice parameters and positions (GGA-PBE), using CuKα.
Peak positions follow from Bragg's law for the DFT cell and can differ from measured ones.

Structural model:
```
PrCuNiSn2
1.0
4.4589 0.0000 0.0000
0.0000 4.4589 0.0000
0.0000 0.0000 10.4089
Pr Cu Ni Sn
2 2 2 4
direct
0.2500 0.2500 0.2459
0.7500 0.7500 0.7541
0.2500 0.7500 0.0000
0.7500 0.2500 0.0000
0.2500 0.2500 0.6237
0.7500 0.7500 0.3763
0.2500 0.2500 0.8650
0.2500 0.7500 0.5000
0.7500 0.2500 0.5000
0.7500 0.7500 0.1350
```

Peak list (6 most intense, 15° ≤ 2θ ≤ 90°, by angle)
d [Å]  I_rel
2.738  57
2.697  100
2.229  66
1.886  25
1.729  29
1.361  24

***

(2)
The following is a theoretical X-ray powder pattern of Lu3ClO4. It was derived from DFT lattice parameters and positions (GGA-PBE), using CuKα.
Peak positions follow from Bragg's law for the DFT cell and can differ from measured ones.

Structural model:
```
Lu3ClO4
1.0
1.9622 -5.6332 0.0000
1.9622 5.6332 0.0000
0.0000 0.0000 11.2799
Lu Cl O
6 2 8
direct
0.1233 0.8767 0.7500
0.1812 0.8188 0.1016
0.1812 0.8188 0.3984
0.8188 0.1812 0.6016
0.8188 0.1812 0.8984
0.8767 0.1233 0.2500
0.5000 0.5000 0.0000
0.5000 0.5000 0.5000
0.0621 0.9379 0.2500
0.2323 0.7677 0.5889
0.2323 0.7677 0.9111
0.3050 0.6950 0.2500
0.6950 0.3050 0.7500
0.7677 0.2323 0.0889
0.7677 0.2323 0.4111
0.9379 0.0621 0.7500
```

Peak list (6 most intense, 15° ≤ 2θ ≤ 90°, by angle)
d [Å]  I_rel
5.634  53
3.706  47
3.127  86
2.713  79
2.639  100
2.521  29

***

(3)
The following is a theoretical X-ray powder pattern of Ga2FeNiPt4. It was derived from DFT lattice parameters and positions (GGA-PBE), using CuKα.
Peak positions follow from Bragg's law for the DFT cell and can differ from measured ones.

Structural model:
```
Ga2FeNiPt4
1.0
4.4519 0.0000 0.0000
0.0000 4.4519 0.0000
0.0000 0.0000 5.6565
Ga Fe Ni Pt
2 1 1 4
direct
0.0000 0.0000 0.0000
0.5000 0.5000 0.5000
0.0000 0.0000 0.5000
0.5000 0.5000 0.0000
0.0000 0.5000 0.2496
0.0000 0.5000 0.7504
0.5000 0.0000 0.2496
0.5000 0.0000 0.7504
```

Peak list (6 most intense, 15° ≤ 2θ ≤ 90°, by angle)
d [Å]  I_rel
3.148  34
2.226  59
2.104  100
1.574  20
1.260  38
1.194  16